For YNiB, a DFT-relaxed cell (GGA-PBE, Alexandria) gives the calculated PXRD pattern in this record (Cu Kα, 1.54184 Å).

Cell lengths 6.0637, 4.9875, 6.8614 Å; angles 90.00, 117.19, 90.00 degrees
Space group P2_1/c (No. 14)
One atom of each set of equivalent atoms:
Y (0.1959, 0.1391, 0.4134) (multiplicity 4)
Ni (0.3946, 0.6113, 0.6154) (multiplicity 4)
B (0.3098, 0.6326, 0.2896) (multiplicity 4)

Largest 10 diffraction maxima, by angle, 2θ = 10–90°:
- hkl 1 1 0, 24.3 deg, rel. 19
- hkl 1 1 1, 32.2 deg, rel. 65
- hkl 2 0 -2, 32.8 deg, rel. 71
- hkl 0 1 2, 34.5 deg, rel. 67
- hkl 2 1 0, 37.9 deg, rel. 40
- hkl 1 2 -1, 39.7 deg, rel. 100
- hkl 1 1 -3, 43.7 deg, rel. 39
- hkl 3 0 -2, 45.3 deg, rel. 16
- hkl 2 1 -4, 57.2 deg, rel. 17
- hkl 3 2 -3, 63.2 deg, rel. 18